Structure and theoretical X-ray powder pattern of LiMg6AlO8 (a cell relaxed with PBE; Cu Kα (λ = 1.5418 Å)).
Peak positions follow from Bragg's law for the DFT cell and can differ from measured ones.

Cell and atoms:
Cell: 4.1736 4.1736 8.5037 Å, 90.00 90.00 90.00°
Fractional coordinates of all 16 atoms:
Li 0.0000 0.0000 0.0000
Mg 0.0000 0.0000 0.5000
Mg 0.0000 0.5000 0.2429
Mg 0.0000 0.5000 0.7571
Mg 0.5000 0.0000 0.2429
Mg 0.5000 0.0000 0.7571
Mg 0.5000 0.5000 0.5000
Al 0.5000 0.5000 0.0000
O 0.0000 0.0000 0.2575
O 0.0000 0.0000 0.7425
O 0.0000 0.5000 0.0000
O 0.0000 0.5000 0.5000
O 0.5000 0.0000 0.0000
O 0.5000 0.0000 0.5000
O 0.5000 0.5000 0.2262
O 0.5000 0.5000 0.7738

Principal peaks in the range 15 to 90 degrees two-theta, in order of falling intensity:
two_theta, I (rel.), h k l
43.36, 100, 2 0 0
62.35, 55, 2 0 4
42.52, 51, 0 0 4
63.00, 28, 2 2 0
78.98, 25, 2 2 4
37.08, 10, 1 1 2
23.75, 9, 1 0 1
75.41, 6, 3 1 2
21.29, 4, 1 0 0
74.23, 3, 1 1 6